Simulated XRD peak list
Compound: SrYC2O6
Radiation: copper Kα
Structure: DFT lattice parameters and positions (PBE)
Intensities are scaled so that the largest is 100.

Crystal structure
a b c (Å): 6.342 6.342 6.825
angles (deg): 103.02 103.02 100.14
Sites, in units of the cell vectors:
Sr 0.143 0.857 0.750
Sr 0.857 0.143 0.250
Y 0.410 0.590 0.250
Y 0.590 0.410 0.750
C 0.124 0.357 0.741
C 0.357 0.124 0.241
C 0.643 0.876 0.759
C 0.876 0.643 0.259
O 0.073 0.605 0.323
O 0.195 0.210 0.615
O 0.210 0.195 0.115
O 0.286 0.519 0.887
O 0.395 0.927 0.177
O 0.481 0.714 0.613
O 0.519 0.286 0.387
O 0.605 0.073 0.823
O 0.714 0.481 0.113
O 0.790 0.805 0.885
O 0.805 0.790 0.385
O 0.927 0.395 0.677

Most intense lines, 2θ = 5–70°, most intense first:
| d/Å | Position (°2θ) | Rel. int. |
| --- | --- | --- |
| 3.060 | 29.18 | 100 |
| 3.195 | 27.92 | 55 |
| 3.870 | 22.98 | 49 |
| 2.020 | 44.86 | 30 |
| 2.466 | 36.43 | 29 |
| 3.812 | 23.34 | 28 |
| 2.050 | 44.18 | 19 |
| 2.111 | 42.84 | 18 |
| 1.951 | 46.54 | 18 |
| 1.875 | 48.55 | 16 |